The following is a theoretical PXRD pattern of Rb2UPbSe4. It was derived from a crystal structure in Alexandria, relaxed with GGA-PBE, using a wavelength of 1.5418 Å.
Intensities are scaled so that the largest is 100.

Structural model:
Cell lengths 7.6806, 4.3709, 8.2876 Å; angles 90.00, 107.26, 90.00 degrees
Element x y z (fractional)
Rb  0.0000  0.0000  0.0000
Rb  0.5000  0.5000  0.0000
U  0.0000  0.5000  0.5000
Pb  0.5000  0.0000  0.5000
Se  0.2125  0.0000  0.6950
Se  0.2393  0.5000  0.2999
Se  0.7607  0.5000  0.7001
Se  0.7875  0.0000  0.3050

Principal peaks in the range 5° ≤ 2θ ≤ 70°, low angle first:
hkl  2θ (°)  d/Å  I/Imax
0 0 1  11.18  7.914  42.4
1 1 1  27.81  3.208  100.0
1 1 2  35.37  2.538  10.0
2 0 2  38.09  2.363  12.0
1 1 -3  38.62  2.332  22.7
3 1 -1  40.85  2.209  24.1
0 2 0  41.31  2.185  12.7
2 2 -2  50.55  1.806  12.6
2 2 2  57.46  1.604  10.5
4 2 0  66.59  1.404  10.0


The following is a theoretical PXRD pattern of KCu2I2Br. It was derived from a crystal structure in Alexandria, relaxed with GGA-PBE, using a wavelength of 1.5418 Å.
Intensities are scaled so that the largest is 100.

Structural model:
Cell lengths 8.8420, 5.2446, 8.8436 Å; angles 90.00, 105.65, 90.00 degrees
Element x y z (fractional)
K  0.2308  0.2500  0.2686
K  0.7692  0.7500  0.7314
Cu  0.3276  0.0000  0.8270
Cu  0.3276  0.5000  0.8270
Cu  0.6724  0.0000  0.1730
Cu  0.6724  0.5000  0.1730
I  0.0786  0.2500  0.8387
I  0.3394  0.7500  0.5782
I  0.6606  0.2500  0.4218
I  0.9214  0.7500  0.1613
Br  0.4042  0.7500  0.0954
Br  0.5958  0.2500  0.9046

Principal peaks in the range 5° ≤ 2θ ≤ 70°, low angle first:
hkl  2θ (°)  d/Å  I/Imax
1 0 0  10.39  8.515  34.1
1 0 1  16.59  5.343  25.3
1 1 -1  21.12  4.207  26.5
1 1 -2  26.81  3.325  28.2
2 1 0  26.97  3.305  100.0
0 0 3  31.52  2.838  28.1
1 0 -4  40.83  2.210  20.7
2 2 -2  43.00  2.104  25.7
1 2 2  43.32  2.088  30.4
1 2 -3  46.37  1.958  25.5